This entry pairs a crystal structure of FeSn3P6O24 with its simulated X-ray diffraction stick pattern. Radiation: Cu Kα. Structure: a cell relaxed with PBE+U.

Structural model:
```
FeSn3P6O24
1.0
4.4017 2.5413 7.4794
-4.4017 2.5413 7.4794
0.0000 -5.0826 7.4794
Fe Sn P O
1 3 6 24
direct
0.0000 0.0000 0.0000 Fe
0.2126 0.2126 0.2126 Sn
0.4998 0.4998 0.4998 Sn
0.7113 0.7113 0.7113 Sn
0.1086 0.3903 0.8170 P
0.3123 0.8928 0.6110 P
0.3903 0.8170 0.1086 P
0.6110 0.3123 0.8928 P
0.8170 0.1086 0.3903 P
0.8928 0.6110 0.3123 P
0.0748 0.4457 0.2813 O
0.0775 0.2219 0.8504 O
0.1370 0.3661 0.9828 O
0.1392 0.9178 0.7834 O
0.2219 0.8504 0.0775 O
0.2789 0.4115 0.6395 O
0.2813 0.0748 0.4457 O
0.3382 0.7245 0.5856 O
0.3661 0.9828 0.1370 O
0.4115 0.6395 0.2789 O
0.4457 0.2813 0.0748 O
0.4809 0.8685 0.6359 O
0.5659 0.7945 0.9358 O
0.5856 0.3382 0.7245 O
0.6359 0.4809 0.8685 O
0.6395 0.2789 0.4115 O
0.7245 0.5856 0.3382 O
0.7834 0.1392 0.9178 O
0.7945 0.9358 0.5659 O
0.8504 0.0775 0.2219 O
0.8685 0.6360 0.4809 O
0.9178 0.7834 0.1392 O
0.9358 0.5659 0.7945 O
0.9828 0.1370 0.3661 O
```

The 8 most intense peaks (2θ = 15–90°), low angle first:
4.518 Å, I = 1000
4.402 Å, I = 705
3.793 Å, I = 653
3.153 Å, I = 638
2.851 Å, I = 614
2.563 Å, I = 303
2.541 Å, I = 294
1.770 Å, I = 249

This entry pairs a crystal structure of Rb2V3O8 with its simulated X-ray diffraction stick pattern. Radiation: Cu Kα. Structure: a cell relaxed with PBE+U.

Structural model:
```
Rb2V3O8
1.0
9.0773 0.0000 0.0000
0.0000 9.0773 0.0000
0.0000 0.0000 5.7025
Rb V O
4 6 16
direct
0.1673 0.3327 0.0000 Rb
0.3327 0.8327 0.0000 Rb
0.6673 0.1673 0.0000 Rb
0.8327 0.6673 0.0000 Rb
0.0000 0.0000 0.7078 V
0.1343 0.6343 0.5150 V
0.3657 0.1343 0.5150 V
0.5000 0.5000 0.7078 V
0.6343 0.8657 0.5150 V
0.8657 0.3657 0.5150 V
0.0000 0.0000 0.9971 O
0.0000 0.5000 0.6231 O
0.0830 0.8055 0.6258 O
0.1320 0.6320 0.2219 O
0.1945 0.0830 0.6258 O
0.3055 0.5830 0.6258 O
0.3680 0.1320 0.2219 O
0.4170 0.3055 0.6258 O
0.5000 0.0000 0.6231 O
0.5000 0.5000 0.9971 O
0.5830 0.6945 0.6258 O
0.6320 0.8680 0.2219 O
0.6945 0.4170 0.6258 O
0.8055 0.9170 0.6258 O
0.8680 0.3680 0.2219 O
0.9170 0.1945 0.6258 O
```

The 8 most intense peaks (2θ = 15–90°), low angle first:
4.263 Å, I = 88
3.551 Å, I = 125
3.307 Å, I = 1000
2.870 Å, I = 257
2.851 Å, I = 122
1.721 Å, I = 135
1.711 Å, I = 97
1.616 Å, I = 122

This entry pairs a crystal structure of Sr2CaWO6 with its simulated X-ray diffraction stick pattern. Radiation: Cu Kα. Structure: a cell relaxed with PBE+U.

Structural model:
```
Sr2CaWO6
1.0
5.8387 0.0000 0.0000
0.0000 8.3658 0.0000
0.0000 0.0000 6.1066
Sr Ca W O
4 2 2 12
direct
0.2500 0.0176 0.2043 Sr
0.2500 0.4824 0.2043 Sr
0.7500 0.5176 0.7957 Sr
0.7500 0.9824 0.7957 Sr
0.2500 0.2500 0.7246 Ca
0.7500 0.7500 0.2754 Ca
0.2500 0.7500 0.7650 W
0.7500 0.2500 0.2350 W
0.0054 0.7500 0.5552 O
0.0170 0.7500 0.0020 O
0.2500 0.5174 0.7820 O
0.2500 0.9826 0.7820 O
0.4830 0.7500 0.0020 O
0.4946 0.7500 0.5552 O
0.5054 0.2500 0.4448 O
0.5170 0.2500 0.9980 O
0.7500 0.0174 0.2180 O
0.7500 0.4826 0.2180 O
0.9830 0.2500 0.9980 O
0.9946 0.2500 0.4448 O
```

The 8 most intense peaks (2θ = 15–90°), low angle first:
4.932 Å, I = 400
4.788 Å, I = 201
3.053 Å, I = 242
2.971 Å, I = 1000
2.919 Å, I = 255
2.514 Å, I = 204
2.110 Å, I = 304
1.695 Å, I = 195

This entry pairs a crystal structure of Li4V2Fe3O10 with its simulated X-ray diffraction stick pattern. Radiation: Cu Kα. Structure: a cell relaxed with PBE+U.

Structural model:
```
Li4V2Fe3O10
1.0
6.6331 0.0000 0.0000
0.0450 7.8716 0.0000
3.3061 0.8928 7.1964
Li V Fe O
8 4 6 20
direct
0.0905 0.0943 0.0973 Li
0.2463 0.7531 0.0086 Li
0.3114 0.2981 0.2840 Li
0.4042 0.4031 0.9065 Li
0.5958 0.5969 0.0935 Li
0.6886 0.7019 0.7160 Li
0.7537 0.2469 0.9914 Li
0.9095 0.9057 0.9027 Li
0.0496 0.5357 0.8034 V
0.4750 0.9496 0.1869 V
0.5250 0.0504 0.8131 V
0.9504 0.4643 0.1966 V
0.0000 0.0000 0.5000 Fe
0.1417 0.6582 0.3908 Fe
0.3617 0.8569 0.5968 Fe
0.5000 0.5000 0.5000 Fe
0.6383 0.1431 0.4032 Fe
0.8583 0.3418 0.6092 Fe
0.0351 0.7565 0.6558 O
0.0646 0.3505 0.9613 O
0.1613 0.8820 0.2508 O
0.1683 0.4389 0.5576 O
0.2487 0.5276 0.1666 O
0.2531 0.9721 0.8401 O
0.3342 0.0646 0.4264 O
0.3713 0.6144 0.7335 O
0.4317 0.1576 0.0397 O
0.4555 0.7225 0.3566 O
0.5445 0.2775 0.6434 O
0.5683 0.8424 0.9603 O
0.6287 0.3856 0.2665 O
0.6657 0.9354 0.5736 O
0.7469 0.0279 0.1599 O
0.7513 0.4724 0.8334 O
0.8317 0.5611 0.4424 O
0.8387 0.1180 0.7492 O
0.9354 0.6495 0.0387 O
0.9649 0.2435 0.3442 O
```

The 8 most intense peaks (2θ = 15–90°), low angle first:
4.889 Å, I = 1000
3.906 Å, I = 197
3.356 Å, I = 159
3.012 Å, I = 192
2.440 Å, I = 218
2.166 Å, I = 530
2.098 Å, I = 470
2.066 Å, I = 456

This entry pairs a crystal structure of SrCoP2O8 with its simulated X-ray diffraction stick pattern. Radiation: Cu Kα. Structure: a cell relaxed with PBE+U.

Structural model:
```
SrCoP2O8
1.0
6.0172 0.0000 0.0000
-1.4669 7.0165 0.0000
-1.9813 -3.4760 7.9926
Sr Co P O
2 2 4 16
direct
0.2455 0.2249 0.4569 Sr
0.7545 0.7751 0.5431 Sr
0.1984 0.8236 0.0473 Co
0.8016 0.1764 0.9527 Co
0.0962 0.5770 0.2676 P
0.3488 0.0269 0.8061 P
0.6512 0.9731 0.1939 P
0.9038 0.4230 0.7324 P
0.0598 0.3963 0.0937 O
0.1222 0.4512 0.6760 O
0.1513 0.7882 0.2410 O
0.1539 0.9325 0.8728 O
0.2205 0.0118 0.6341 O
0.3197 0.5676 0.3840 O
0.4442 0.0804 0.1985 O
0.4870 0.7496 0.0614 O
0.5130 0.2504 0.9386 O
0.5558 0.9196 0.8015 O
0.6803 0.4324 0.6160 O
0.7795 0.9882 0.3659 O
0.8461 0.0675 0.1272 O
0.8487 0.2118 0.7590 O
0.8778 0.5488 0.3240 O
0.9402 0.6037 0.9063 O
```

The 8 most intense peaks (2θ = 15–90°), low angle first:
4.323 Å, I = 467
4.213 Å, I = 1000
3.208 Å, I = 928
2.908 Å, I = 784
2.827 Å, I = 365
2.799 Å, I = 568
2.117 Å, I = 265
1.980 Å, I = 243

This entry pairs a crystal structure of Li4Fe3Co5O16 with its simulated X-ray diffraction stick pattern. Radiation: Cu Kα. Structure: a cell relaxed with PBE+U.

Structural model:
```
Li4Fe3Co5O16
1.0
5.7492 0.0000 0.0000
-2.8665 4.9911 0.0000
-0.0056 -0.1335 9.1767
Li Fe Co O
4 3 5 16
direct
0.0000 0.0000 0.0000 Li
0.0030 0.0014 0.4980 Li
0.3409 0.6814 0.5973 Li
0.6764 0.3482 0.1031 Li
0.1735 0.3468 0.2837 Fe
0.3448 0.1806 0.7825 Fe
0.8362 0.1802 0.7828 Fe
0.1773 0.8389 0.2820 Co
0.3387 0.6808 0.0113 Co
0.6614 0.8377 0.2817 Co
0.6717 0.3481 0.5073 Co
0.8312 0.6622 0.7816 Co
0.0539 0.5431 0.1491 O
0.1712 0.8334 0.9004 O
0.1750 0.3500 0.8999 O
0.3412 0.1755 0.3984 O
0.3525 0.6956 0.3868 O
0.4853 0.9717 0.1578 O
0.4965 0.5478 0.1494 O
0.5311 0.0612 0.6420 O
0.5363 0.5013 0.6470 O
0.6627 0.8335 0.9004 O
0.6759 0.3517 0.8927 O
0.8319 0.1705 0.3970 O
0.8354 0.6725 0.3925 O
0.9638 0.5000 0.6458 O
0.9919 0.9916 0.1908 O
0.9972 0.9938 0.6902 O
```

The 8 most intense peaks (2θ = 15–90°), low angle first:
4.588 Å, I = 1000
4.403 Å, I = 747
4.363 Å, I = 942
2.425 Å, I = 354
2.399 Å, I = 495
1.938 Å, I = 378
1.925 Å, I = 369
1.438 Å, I = 480

This entry pairs a crystal structure of Fe7Si2O12 with its simulated X-ray diffraction stick pattern. Radiation: Cu Kα. Structure: a cell relaxed with PBE+U.

Structural model:
```
Fe7Si2O12
1.0
4.2014 -4.1996 0.0000
4.2014 4.1996 0.0000
-4.1514 0.0000 12.7395
Fe Si O
14 4 24
direct
0.0000 0.0000 0.0000 Fe
0.0000 0.0000 0.5000 Fe
0.0000 0.5000 0.5000 Fe
0.1261 0.8739 0.7500 Fe
0.1727 0.6668 0.3368 Fe
0.3332 0.8273 0.1632 Fe
0.3335 0.3351 0.1636 Fe
0.3351 0.3335 0.6636 Fe
0.5000 0.0000 0.0000 Fe
0.6649 0.6665 0.3364 Fe
0.6665 0.6649 0.8364 Fe
0.6668 0.1727 0.8368 Fe
0.8273 0.3332 0.6632 Fe
0.8739 0.1261 0.2500 Fe
0.2026 0.4569 0.9138 Si
0.4569 0.2026 0.4138 Si
0.5431 0.7974 0.5862 Si
0.7974 0.5431 0.0862 Si
0.0646 0.5815 0.1627 O
0.0778 0.0827 0.6556 O
0.0800 0.5734 0.6602 O
0.0827 0.0778 0.1556 O
0.2369 0.2638 0.9904 O
0.2368 0.7263 0.9901 O
0.2638 0.2369 0.4904 O
0.2737 0.7632 0.5099 O
0.3981 0.4196 0.8394 O
0.4185 0.9354 0.3373 O
0.4196 0.3981 0.3394 O
0.4266 0.9200 0.8398 O
0.5734 0.0800 0.1602 O
0.5804 0.6019 0.6606 O
0.5815 0.0646 0.6627 O
0.6019 0.5804 0.1606 O
0.7263 0.2368 0.4901 O
0.7362 0.7631 0.5096 O
0.7632 0.2737 0.0099 O
0.7631 0.7362 0.0096 O
0.9173 0.9222 0.8444 O
0.9200 0.4266 0.3398 O
0.9222 0.9173 0.3444 O
0.9354 0.4185 0.8373 O
```

The 8 most intense peaks (2θ = 15–90°), low angle first:
4.867 Å, I = 277
2.556 Å, I = 489
2.535 Å, I = 1000
2.434 Å, I = 164
2.123 Å, I = 181
2.100 Å, I = 359
1.493 Å, I = 238
1.485 Å, I = 238

This entry pairs a crystal structure of Li2VF7 with its simulated X-ray diffraction stick pattern. Radiation: Cu Kα. Structure: a cell relaxed with PBE+U.

Structural model:
```
Li2VF7
1.0
6.9735 0.0000 0.0000
0.0000 7.0480 0.0000
0.0000 0.0000 10.1983
Li V F
8 4 28
direct
0.1308 0.2500 0.2489 Li
0.1691 0.7500 0.5008 Li
0.3309 0.2500 0.0008 Li
0.3692 0.7500 0.7489 Li
0.6308 0.2500 0.2511 Li
0.6691 0.7500 0.9992 Li
0.8309 0.2500 0.4992 Li
0.8692 0.7500 0.7511 Li
0.1948 0.7500 0.0586 V
0.3052 0.2500 0.5586 V
0.6948 0.7500 0.4414 V
0.8052 0.2500 0.9414 V
0.0463 0.2500 0.0140 F
0.0570 0.2500 0.6138 F
0.1169 0.7500 0.6774 F
0.1289 0.5699 0.1733 F
0.1289 0.9301 0.1733 F
0.2361 0.0676 0.4394 F
0.2361 0.4324 0.4394 F
0.2639 0.5676 0.9394 F
0.2639 0.9324 0.9394 F
0.3711 0.0699 0.6733 F
0.3711 0.4301 0.6733 F
0.3831 0.2500 0.1774 F
0.4430 0.7500 0.1138 F
0.4537 0.7500 0.5140 F
0.5463 0.2500 0.4860 F
0.5570 0.2500 0.8862 F
0.6169 0.7500 0.8226 F
0.6289 0.5699 0.3267 F
0.6289 0.9301 0.3267 F
0.7361 0.0676 0.0606 F
0.7361 0.4324 0.0606 F
0.7639 0.5676 0.5606 F
0.7639 0.9324 0.5606 F
0.8711 0.0699 0.8267 F
0.8711 0.4301 0.8267 F
0.8831 0.2500 0.3226 F
0.9430 0.7500 0.3862 F
0.9537 0.7500 0.9860 F
```

The 8 most intense peaks (2θ = 15–90°), low angle first:
5.099 Å, I = 342
4.458 Å, I = 1000
4.116 Å, I = 306
3.524 Å, I = 218
3.061 Å, I = 172
2.677 Å, I = 244
2.309 Å, I = 233
1.981 Å, I = 211